# Y2Si2O7
Simulated powder diffraction line list, CuKα. Input: a crystal structure in the Materials Project, relaxed with GGA-PBE.
Kinematic intensities with the Lorentz-polarization factor, no thermal factor.

Atomic structure:
a b c (Å): 13.841 8.223 5.096
angles (deg): 90.00 90.00 90.00
Fractional positions:
Y (0.126, 0.009, 0.158)
Y (0.126, 0.491, 0.158)
Y (0.374, 0.509, 0.658)
Y (0.374, 0.991, 0.658)
Y (0.626, 0.009, 0.342)
Y (0.626, 0.491, 0.342)
Y (0.874, 0.509, 0.842)
Y (0.874, 0.991, 0.842)
Si (0.040, 0.750, 0.626)
Si (0.181, 0.250, 0.621)
Si (0.319, 0.750, 0.121)
Si (0.460, 0.250, 0.126)
Si (0.540, 0.750, 0.874)
Si (0.681, 0.250, 0.879)
Si (0.819, 0.750, 0.379)
Si (0.960, 0.250, 0.374)
O (0.047, 0.582, 0.793)
O (0.047, 0.918, 0.793)
O (0.080, 0.250, 0.436)
O (0.100, 0.750, 0.350)
O (0.155, 0.250, 0.931)
O (0.233, 0.086, 0.511)
O (0.233, 0.414, 0.511)
O (0.267, 0.586, 0.011)
O (0.267, 0.914, 0.011)
O (0.345, 0.750, 0.431)
O (0.400, 0.250, 0.850)
O (0.420, 0.750, 0.936)
O (0.453, 0.082, 0.293)
O (0.453, 0.418, 0.293)
O (0.547, 0.582, 0.707)
O (0.547, 0.918, 0.707)
O (0.580, 0.250, 0.064)
O (0.600, 0.750, 0.150)
O (0.655, 0.250, 0.569)
O (0.733, 0.086, 0.989)
O (0.733, 0.414, 0.989)
O (0.767, 0.586, 0.489)
O (0.767, 0.914, 0.489)
O (0.845, 0.750, 0.069)
O (0.900, 0.250, 0.650)
O (0.920, 0.750, 0.564)
O (0.953, 0.082, 0.207)
O (0.953, 0.418, 0.207)

Most intense lines, 2θ from 10° to 90°, by intensity:
| two_theta | I_rel |
| --- | --- |
| 21.6 | 100 |
| 30.8 | 99 |
| 28.6 | 66 |
| 25.7 | 43 |
| 43.0 | 38 |
| 33.9 | 30 |
| 49.6 | 29 |
| 44.1 | 28 |



# Ho2Si3Pd
Simulated powder diffraction line list, CuKα. Input: a crystal structure in the Materials Project, relaxed with GGA-PBE.
Kinematic intensities with the Lorentz-polarization factor, no thermal factor.

Atomic structure:
a b c (Å): 4.002 4.119 7.059
angles (deg): 90.00 90.00 90.00
Fractional positions:
Ho (0.000, 0.000, 0.000)
Ho (0.000, 0.500, 0.486)
Si (0.500, 0.000, 0.330)
Si (0.500, 0.000, 0.662)
Si (0.500, 0.500, 0.161)
Pd (0.500, 0.500, 0.826)

Most intense lines, 2θ from 10° to 90°, by intensity:
| two_theta | I_rel |
| --- | --- |
| 33.7 | 100 |
| 33.9 | 49 |
| 44.3 | 34 |
| 25.0 | 32 |
| 56.6 | 23 |
| 65.3 | 21 |
| 44.0 | 18 |
| 45.3 | 16 |



# Ca2AlClO8
Simulated powder diffraction line list, CuKα. Input: a crystal structure in the Materials Project, relaxed with GGA-PBE.
Kinematic intensities with the Lorentz-polarization factor, no thermal factor.

Atomic structure:
a b c (Å): 6.102 6.109 7.025
angles (deg): 89.31 64.37 60.14
Fractional positions:
Ca (0.109, 0.195, 0.087)
Ca (0.891, 0.805, 0.913)
Al (0.500, 0.500, 0.000)
Cl (0.500, 0.000, 0.500)
O (0.124, 0.795, 0.121)
O (0.173, 0.661, 0.511)
O (0.318, 0.424, 0.881)
O (0.461, 0.239, 0.119)
O (0.539, 0.761, 0.881)
O (0.682, 0.576, 0.119)
O (0.827, 0.339, 0.489)
O (0.876, 0.205, 0.879)

Most intense lines, 2θ from 10° to 90°, by intensity:
| two_theta | I_rel |
| --- | --- |
| 29.2 | 100 |
| 14.5 | 83 |
| 51.8 | 26 |
| 41.4 | 20 |
| 42.1 | 19 |
| 41.9 | 18 |
| 25.8 | 18 |
| 51.9 | 14 |



What did the second record say?
# Ho2Si3Pd
Simulated powder diffraction line list, CuKα. Input: a crystal structure in the Materials Project, relaxed with GGA-PBE.
Kinematic intensities with the Lorentz-polarization factor, no thermal factor.

Atomic structure:
a b c (Å): 4.002 4.119 7.059
angles (deg): 90.00 90.00 90.00
Fractional positions:
Ho (0.000, 0.000, 0.000)
Ho (0.000, 0.500, 0.486)
Si (0.500, 0.000, 0.330)
Si (0.500, 0.000, 0.662)
Si (0.500, 0.500, 0.161)
Pd (0.500, 0.500, 0.826)

Most intense lines, 2θ from 10° to 90°, by intensity:
| two_theta | I_rel |
| --- | --- |
| 33.7 | 100 |
| 33.9 | 49 |
| 44.3 | 34 |
| 25.0 | 32 |
| 56.6 | 23 |
| 65.3 | 21 |
| 44.0 | 18 |
| 45.3 | 16 |